No. 1
The following is a simulated X-ray powder pattern of BaBr2O7. It was derived from the PBE geometry in the Materials Project, using CuKα.
Intensities are scaled so that the largest is 100.

Structural model:
```
BaBr2O7
1.0
6.353 -4.110 0.000
6.353 4.110 0.000
-5.755 0.000 6.888
Ba Br O
2 4 14
direct
0.151 0.849 0.750
0.849 0.151 0.250
0.286 0.331 0.305
0.331 0.286 0.805
0.669 0.714 0.195
0.714 0.669 0.695
0.109 0.175 0.633
0.175 0.109 0.133
0.203 0.797 0.250
0.215 0.401 0.481
0.245 0.550 0.891
0.401 0.215 0.981
0.450 0.755 0.609
0.550 0.245 0.391
0.599 0.785 0.019
0.755 0.450 0.109
0.785 0.599 0.519
0.797 0.203 0.750
0.825 0.891 0.867
0.891 0.825 0.367
```

Most intense lines, 5° ≤ 2θ ≤ 70°, in order of falling intensity:
| 2theta | intensity |
| --- | --- |
| 29.5 | 100 |
| 14.6 | 60 |
| 25.9 | 46 |
| 28.4 | 40 |
| 28.2 | 40 |
| 23.8 | 33 |
| 48.7 | 30 |
| 40.3 | 27 |
| 25.2 | 24 |
| 37.3 | 20 |
| 25.1 | 20 |
| 21.6 | 20 |

***

No. 2
The following is a simulated X-ray powder pattern of Al4P3H3O15. It was derived from the PBE geometry in the Materials Project, using CuKα.
Intensities are scaled so that the largest is 100.

Structural model:
```
Al4P3H3O15
1.0
9.623 -3.607 0.000
9.623 3.607 0.000
-1.539 0.000 7.080
Al P H O
8 6 6 30
direct
0.153 0.696 0.841
0.304 0.847 0.659
0.325 0.340 0.152
0.340 0.325 0.652
0.660 0.675 0.348
0.675 0.660 0.848
0.696 0.153 0.341
0.847 0.304 0.159
0.037 0.301 0.588
0.301 0.037 0.088
0.382 0.618 0.250
0.618 0.382 0.750
0.699 0.963 0.912
0.963 0.699 0.412
0.002 0.998 0.750
0.091 0.509 0.888
0.491 0.909 0.612
0.509 0.091 0.388
0.909 0.491 0.112
0.998 0.002 0.250
0.083 0.554 0.242
0.102 0.123 0.102
0.112 0.604 0.594
0.123 0.102 0.602
0.138 0.862 0.750
0.202 0.274 0.571
0.220 0.460 0.907
0.241 0.718 0.077
0.274 0.202 0.071
0.282 0.759 0.423
0.396 0.888 0.906
0.423 0.448 0.758
0.446 0.917 0.258
0.448 0.423 0.258
0.460 0.220 0.407
0.540 0.780 0.593
0.552 0.577 0.742
0.554 0.083 0.742
0.577 0.552 0.242
0.604 0.112 0.094
0.718 0.241 0.577
0.726 0.798 0.929
0.759 0.282 0.923
0.780 0.540 0.093
0.798 0.726 0.429
0.862 0.138 0.250
0.877 0.898 0.398
0.888 0.396 0.406
0.898 0.877 0.898
0.917 0.446 0.758
```

Most intense lines, 5° ≤ 2θ ≤ 70°, in order of falling intensity:
| 2theta | intensity |
| --- | --- |
| 28.5 | 100 |
| 27.3 | 98 |
| 27.6 | 93 |
| 35.3 | 44 |
| 58.9 | 40 |
| 28.8 | 34 |
| 13.1 | 20 |
| 45.6 | 20 |
| 59.6 | 18 |
| 45.1 | 18 |
| 56.4 | 16 |
| 46.0 | 15 |

***

No. 3
The following is a simulated X-ray powder pattern of Ta2Tl4S11. It was derived from the PBE geometry in the Materials Project, using CuKα.
Intensities are scaled so that the largest is 100.

Structural model:
```
Ta2Tl4S11
1.0
8.210 0.000 0.000
0.818 9.160 0.000
0.189 4.112 12.850
Ta Tl S
4 8 22
direct
0.126 0.359 0.307
0.334 0.112 0.192
0.666 0.888 0.808
0.874 0.641 0.693
0.046 0.759 0.976
0.212 0.966 0.575
0.231 0.422 0.585
0.498 0.261 0.891
0.502 0.739 0.109
0.769 0.578 0.415
0.788 0.034 0.425
0.954 0.241 0.024
0.004 0.711 0.534
0.047 0.135 0.253
0.048 0.636 0.249
0.097 0.494 0.812
0.269 0.396 0.115
0.273 0.044 0.046
0.363 0.870 0.332
0.385 0.189 0.372
0.390 0.422 0.354
0.419 0.068 0.745
0.485 0.685 0.880
0.515 0.315 0.120
0.581 0.932 0.255
0.610 0.578 0.646
0.615 0.811 0.628
0.637 0.130 0.668
0.727 0.956 0.954
0.731 0.604 0.885
0.903 0.506 0.188
0.952 0.364 0.751
0.953 0.865 0.747
0.996 0.289 0.466
```

Most intense lines, 5° ≤ 2θ ≤ 70°, in order of falling intensity:
| 2theta | intensity |
| --- | --- |
| 23.6 | 100 |
| 19.4 | 94 |
| 31.3 | 88 |
| 29.1 | 82 |
| 14.2 | 79 |
| 22.9 | 68 |
| 21.8 | 68 |
| 27.3 | 67 |
| 30.6 | 64 |
| 29.7 | 63 |
| 17.4 | 59 |
| 25.1 | 42 |

***

No. 4
The following is a simulated X-ray powder pattern of CeMg6Cd. It was derived from the PBE geometry in the Materials Project, using CuKα.
Intensities are scaled so that the largest is 100.

Structural model:
```
CeMg6Cd
1.0
5.121 0.000 0.000
0.000 3.289 5.790
0.000 -3.289 5.790
Ce Mg Cd
1 6 1
direct
0.000 0.000 0.000
0.000 0.506 0.996
0.000 0.510 0.510
0.000 0.996 0.506
0.500 0.341 0.341
0.500 0.352 0.836
0.500 0.836 0.352
0.500 0.833 0.833
```

Most intense lines, 5° ≤ 2θ ≤ 70°, in order of falling intensity:
| 2theta | intensity |
| --- | --- |
| 36.0 | 100 |
| 15.5 | 97 |
| 35.6 | 54 |
| 32.1 | 46 |
| 23.2 | 41 |
| 35.0 | 37 |
| 23.3 | 27 |
| 31.3 | 26 |
| 55.2 | 26 |
| 38.5 | 24 |
| 67.1 | 20 |
| 63.5 | 18 |

***

No. 5
The following is a simulated X-ray powder pattern of Eu3Hf. It was derived from the PBE geometry in the Materials Project, using CuKα.
Intensities are scaled so that the largest is 100.

Structural model:
```
Eu3Hf
1.0
-2.582 2.582 5.140
2.582 -2.582 5.140
2.582 2.582 -5.140
Eu Hf
3 1
direct
0.000 0.000 0.000
0.250 0.750 0.500
0.750 0.250 0.500
0.500 0.500 0.000
```

Most intense lines, 5° ≤ 2θ ≤ 70°, in order of falling intensity:
| 2theta | intensity |
| --- | --- |
| 30.0 | 100 |
| 34.7 | 34 |
| 59.4 | 29 |
| 50.1 | 24 |
| 34.9 | 17 |
| 59.6 | 14 |
| 62.4 | 13 |
| 49.9 | 12 |

***

No. 6
The following is a simulated X-ray powder pattern of KMnCu3Se4. It was derived from the PBE geometry in the Materials Project, using CuKα.
Intensities are scaled so that the largest is 100.

Structural model:
```
KMnCu3Se4
1.0
6.060 0.000 0.000
0.000 6.060 0.000
0.000 0.000 6.060
K Mn Cu Se
1 1 3 4
direct
0.000 0.000 0.000
0.500 0.500 0.500
0.000 0.500 0.500
0.500 0.000 0.500
0.500 0.500 0.000
0.279 0.279 0.721
0.279 0.721 0.279
0.721 0.279 0.279
0.721 0.721 0.721
```

Most intense lines, 5° ≤ 2θ ≤ 70°, in order of falling intensity:
| 2theta | intensity |
| --- | --- |
| 25.5 | 100 |
| 42.2 | 100 |
| 14.6 | 44 |
| 49.9 | 38 |
| 54.6 | 16 |
| 61.2 | 13 |
| 67.4 | 11 |
| 36.3 | 11 |
| 44.9 | 11 |
| 65.3 | 8 |
| 56.9 | 6 |
| 63.3 | 4 |

***

No. 7
The following is a simulated X-ray powder pattern of Rb2Cd3H6S3O16. It was derived from the PBE geometry in the Materials Project, using CuKα.
Intensities are scaled so that the largest is 100.

Structural model:
```
Rb2Cd3H6S3O16
1.0
9.470 -4.159 0.000
9.470 4.159 0.000
0.000 0.000 10.377
Rb Cd H S O
4 6 12 6 32
direct
0.144 0.231 0.000
0.231 0.144 0.500
0.769 0.856 0.000
0.856 0.769 0.500
0.182 0.818 0.232
0.372 0.442 0.943
0.442 0.372 0.443
0.558 0.628 0.943
0.628 0.558 0.443
0.818 0.182 0.732
0.079 0.568 0.781
0.096 0.709 0.778
0.291 0.904 0.778
0.427 0.573 0.113
0.432 0.921 0.781
0.452 0.548 0.748
0.548 0.452 0.248
0.568 0.079 0.281
0.573 0.427 0.613
0.709 0.096 0.278
0.904 0.291 0.278
0.921 0.432 0.281
0.121 0.522 0.222
0.195 0.805 0.564
0.478 0.879 0.222
0.522 0.121 0.722
0.805 0.195 0.064
0.879 0.478 0.722
0.025 0.471 0.698
0.046 0.707 0.224
0.092 0.908 0.447
0.092 0.908 0.684
0.099 0.633 0.836
0.199 0.438 0.352
0.233 0.638 0.569
0.255 0.417 0.120
0.293 0.954 0.224
0.341 0.659 0.049
0.362 0.767 0.569
0.367 0.901 0.836
0.417 0.255 0.620
0.438 0.199 0.852
0.462 0.538 0.312
0.471 0.025 0.198
0.529 0.975 0.698
0.538 0.462 0.812
0.562 0.801 0.352
0.583 0.745 0.120
0.633 0.099 0.336
0.638 0.233 0.069
0.659 0.341 0.549
0.707 0.046 0.724
0.745 0.583 0.620
0.767 0.362 0.069
0.801 0.562 0.852
0.901 0.367 0.336
0.908 0.092 0.184
0.908 0.092 0.947
0.954 0.293 0.724
0.975 0.529 0.198
```

Most intense lines, 5° ≤ 2θ ≤ 70°, in order of falling intensity:
| 2theta | intensity |
| --- | --- |
| 27.5 | 100 |
| 31.1 | 72 |
| 25.8 | 67 |
| 20.7 | 53 |
| 28.3 | 46 |
| 14.4 | 44 |
| 27.3 | 38 |
| 24.7 | 32 |
| 25.5 | 30 |
| 44.1 | 30 |
| 43.7 | 29 |
| 23.0 | 29 |